Entry 1:
For Nd5Sn15Rh8, DFT lattice parameters and positions (GGA-PBE) gives the calculated powder diffraction line list in this record (CuKα).
Lines closer than 0.1° are merged.

Top 10 peaks for 2θ = 10–90°, low angle first:
2θ 32.95, rel. 100; 2θ 33.41, rel. 67; 2θ 34.94, rel. 20; 2θ 35.69, rel. 29; 2θ 39.66, rel. 17; 2θ 40.02, rel. 47; 2θ 43.03, rel. 21; 2θ 54.69, rel. 17; 2θ 62.95, rel. 15; 2θ 68.23, rel. 13

Atomic structure:
Unit cell a=7.318 b=4.506 c=18.753 alpha=90.00 beta=90.13 gamma=90.00
Sites, in units of the cell vectors:
Nd: 0.000 0.000 0.000
Nd: 0.000 0.500 0.284
Nd: 0.500 0.000 0.498
Nd: 0.502 0.500 0.785
Nd: 0.995 0.500 0.711
Sn: 0.012 0.000 0.574
Sn: 0.134 0.000 0.173
Sn: 0.200 0.500 0.455
Sn: 0.219 0.000 0.835
Sn: 0.282 0.000 0.335
Sn: 0.304 0.500 0.962
Sn: 0.354 0.000 0.671
Sn: 0.481 0.000 0.074
Sn: 0.523 0.500 0.208
Sn: 0.632 0.500 0.609
Sn: 0.702 0.000 0.323
Sn: 0.718 0.500 0.948
Sn: 0.778 0.500 0.447
Sn: 0.804 0.000 0.823
Sn: 0.869 0.500 0.110
Rh: 0.019 0.500 0.867
Rh: 0.252 0.500 0.108
Rh: 0.263 0.500 0.595
Rh: 0.489 0.500 0.351
Rh: 0.518 0.000 0.926
Rh: 0.729 0.000 0.676
Rh: 0.751 0.000 0.176
Rh: 0.985 0.000 0.427



Entry 2:
For NdSn5Rh3, DFT lattice parameters and positions (GGA-PBE) gives the calculated powder diffraction line list in this record (CuKα).
Lines closer than 0.1° are merged.

Top 10 peaks for 2θ = 10–90°, low angle first:
2θ 19.27, rel. 26; 2θ 19.41, rel. 34; 2θ 27.48, rel. 23; 2θ 31.37, rel. 35; 2θ 31.50, rel. 100; 2θ 39.10, rel. 30; 2θ 39.40, rel. 32; 2θ 39.81, rel. 33; 2θ 49.09, rel. 25; 2θ 51.17, rel. 22

Atomic structure:
Unit cell a=7.441 b=7.441 c=9.889 alpha=113.55 beta=113.55 gamma=75.86
Sites, in units of the cell vectors:
Nd: 0.099 0.099 0.306
Nd: 0.901 0.901 0.694
Sn: 0.060 0.617 0.344
Sn: 0.243 0.243 0.041
Sn: 0.301 0.699 0.000
Sn: 0.383 0.940 0.656
Sn: 0.415 0.415 0.647
Sn: 0.585 0.585 0.353
Sn: 0.617 0.060 0.344
Sn: 0.699 0.301 0.000
Sn: 0.757 0.757 0.959
Sn: 0.940 0.383 0.656
Rh: 0.000 0.000 0.000
Rh: 0.000 0.000 0.500
Rh: 0.307 0.307 0.823
Rh: 0.362 0.362 0.348
Rh: 0.638 0.638 0.652
Rh: 0.693 0.693 0.177



Entry 3:
For NdSn8Rh4, DFT lattice parameters and positions (GGA-PBE) gives the calculated powder diffraction line list in this record (CuKα).
Lines closer than 0.1° are merged.

Top 10 peaks for 2θ = 10–90°, low angle first:
2θ 18.94, rel. 6; 2θ 23.25, rel. 9; 2θ 26.92, rel. 8; 2θ 30.16, rel. 8; 2θ 38.43, rel. 100; 2θ 45.40, rel. 4; 2θ 55.48, rel. 17; 2θ 57.34, rel. 4; 2θ 69.51, rel. 34; 2θ 82.33, rel. 10

Atomic structure:
Unit cell a=6.625 b=6.625 c=6.625 alpha=90.00 beta=90.00 gamma=90.00
Sites, in units of the cell vectors:
Nd: 0.000 0.000 0.000
Sn: 0.263 0.263 0.263
Sn: 0.263 0.263 0.737
Sn: 0.263 0.737 0.263
Sn: 0.263 0.737 0.737
Sn: 0.737 0.263 0.263
Sn: 0.737 0.263 0.737
Sn: 0.737 0.737 0.263
Sn: 0.737 0.737 0.737
Rh: 0.000 0.000 0.500
Rh: 0.000 0.500 0.000
Rh: 0.500 0.000 0.000
Rh: 0.500 0.500 0.500